Structure and calculated XRD peak list of PrCuTe2PbSe (a structure optimized by DFT (PBE); Cu Kα X-rays).
No peak broadening, texture or thermal motion is included.

Atomic structure:
```
data_PrCuTe2PbSe
_chemical_formula_sum 'Pr4 Cu4 Te8 Pb4 Se4'
_symmetry_space_group_name_H-M 'C m c m'
_symmetry_Int_Tables_number 63
_symmetry_space_group_name_Hall '-C 2c 2'
_cell_length_a 4.284
_cell_length_b 14.591
_cell_length_c 11.005
_cell_angle_alpha 90.00
_cell_angle_beta 90.00
_cell_angle_gamma 90.00
loop_
_atom_site_label
_atom_site_fract_x
_atom_site_fract_y
_atom_site_fract_z
Pr1 0.000 0.000 0.000
Cu1 0.000 0.472 0.250
Te1 0.000 0.349 0.071
Pb1 0.000 0.260 0.750
Se1 0.000 0.073 0.250
```

Largest 10 diffraction maxima, by angle, 2θ = 15–90°:
| 2θ (°) | I/Imax | index |
| --- | --- | --- |
| 20.21 | 32 | 0 2 2 |
| 27.21 | 42 | 0 2 3 |
| 27.75 | 64 | 1 3 0 |
| 28.94 | 100 | 1 3 1 |
| 32.25 | 57 | 1 3 2 |
| 32.55 | 31 | 0 0 4 |
| 32.72 | 75 | 1 1 3 |
| 40.56 | 43 | 0 6 2 |
| 40.85 | 29 | 1 5 2 |
| 42.19 | 42 | 2 0 0 |

---

Structure and calculated XRD peak list of NdGa4Ni (a structure optimized by DFT (PBE); Cu Kα X-rays).
No peak broadening, texture or thermal motion is included.

Atomic structure:
```
data_NdGa4Ni
_chemical_formula_sum 'Nd4 Ga16 Ni4'
_symmetry_space_group_name_H-M 'C m c m'
_symmetry_Int_Tables_number 63
_symmetry_space_group_name_Hall '-C 2c 2'
_cell_length_a 4.169
_cell_length_b 15.765
_cell_length_c 6.624
_cell_angle_alpha 90.00
_cell_angle_beta 90.00
_cell_angle_gamma 90.00
loop_
_atom_site_label
_atom_site_fract_x
_atom_site_fract_y
_atom_site_fract_z
Nd1 0.000 0.114 0.250
Ga1 0.000 0.076 0.750
Ga2 0.000 0.311 0.053
Ga3 0.000 0.500 0.000
Ni1 0.000 0.224 0.750
```

Largest 10 diffraction maxima, by angle, 2θ = 15–90°:
| 2θ (°) | I/Imax | index |
| --- | --- | --- |
| 35.07 | 100 | 1 1 2 |
| 35.40 | 19 | 0 4 2 |
| 35.70 | 64 | 1 5 0 |
| 36.80 | 28 | 0 6 1 |
| 38.28 | 26 | 1 5 1 |
| 38.72 | 14 | 1 3 2 |
| 43.41 | 38 | 2 0 0 |
| 43.99 | 29 | 0 6 2 |
| 58.18 | 14 | 2 6 1 |
| 63.52 | 19 | 2 6 2 |

---

Which formula does entry 2 have?
NdGa4Ni